Starting from a PBE+U-relaxed structure, the powder X-ray diffraction pattern of LiV4Ni2O12 was simulated for Cu Kα X-rays.
Lines closer than 0.1° are merged.

Cell and atoms:
Cell lengths 5.7419, 6.7379, 6.9353 Å; angles 81.73, 76.11, 72.57 degrees
Sites, in units of the cell vectors:
Li  0.0000  0.0000  0.0000
V  0.0325  0.5454  0.8218
V  0.0734  0.0855  0.4314
V  0.5709  0.3292  0.0107
V  0.5929  0.8892  0.6035
Ni  0.0960  0.6245  0.2973
Ni  0.5896  0.7879  0.1354
O  0.0642  0.3270  0.3375
O  0.1130  0.6411  0.5806
O  0.1824  0.9236  0.2359
O  0.2693  0.0154  0.6169
O  0.3564  0.3686  0.8619
O  0.4722  0.5210  0.1806
O  0.6179  0.0802  0.1255
O  0.6350  0.7507  0.8264
O  0.6929  0.7340  0.4118
O  0.7611  0.0837  0.5532
O  0.8837  0.3165  0.8813
O  0.9758  0.6986  0.0365

Largest 10 diffraction maxima, in order of falling intensity, 2θ from 10° to 90°:
| (hkl) | 2theta | Rel. int. |
| --- | --- | --- |
| 1 2 0 | 28.3 | 100 |
| 0 1 2 | 29.1 | 41 |
| 2 0 0 | 33.4 | 41 |
| 0 1 -1 | 19.9 | 36 |
| 0 1 0 | 13.8 | 29 |
| 1 0 1 | 18.9 | 27 |
| 1 1 0 | 18.4 | 24 |
| 1 3 -1 | 45.4 | 24 |
| 0 2 1 | 29.9 | 20 |
| 1 -2 0 | 36.4 | 17 |